(1)
Starting from a DFT-relaxed cell (PBE, Alexandria), the X-ray powder pattern of DyTmHgPb was calculated for Cu Kα (λ = 1.5418 Å).
Kinematic intensities with the Lorentz-polarization factor, no thermal factor.

Peak list (6 most intense, 10° ≤ 2θ ≤ 80°, sorted by position)
- hkl 2 0 0, 2θ = 23.69°, intensity 1.2
- hkl 2 2 0, 2θ = 33.75°, intensity 100.0
- hkl 4 0 0, 2θ = 48.48°, intensity 18.4
- hkl 4 2 0, 2θ = 54.64°, intensity 0.6
- hkl 4 2 2, 2θ = 60.37°, intensity 38.4
- hkl 4 4 0, 2θ = 70.98°, intensity 12.0

Structural model:
```
data_DyTmHgPb
_space_group_name_H-M_alt 'F -4 3 m'
_space_group_IT_number 216
_space_group_name_Hall 'F -4 2 3'
_cell_length_a 7.511
_cell_length_b 7.511
_cell_length_c 7.511
_cell_angle_alpha 90.00
_cell_angle_beta 90.00
_cell_angle_gamma 90.00
loop_
_atom_site_label
_atom_site_fract_x
_atom_site_fract_y
_atom_site_fract_z
Dy1 0.000 0.000 0.000
Tm1 0.000 0.000 0.500
Hg1 0.250 0.250 0.750
Pb1 0.250 0.250 0.250
```

***

(2)
Starting from a DFT-relaxed cell (PBE, Alexandria), the X-ray powder pattern of Dy5Hg2Pd12 was calculated for Cu Kα (λ = 1.5418 Å).
Kinematic intensities with the Lorentz-polarization factor, no thermal factor.

Peak list (10 most intense, 10° ≤ 2θ ≤ 80°, sorted by position)
- hkl 1 1 -2, 2θ = 24.54°, intensity 27.5
- hkl 0 2 1, 2θ = 33.66°, intensity 22.2
- hkl 6 0 0, 2θ = 35.84°, intensity 60.9
- hkl 5 1 -3, 2θ = 36.06°, intensity 21.1
- hkl 2 2 -2, 2θ = 37.27°, intensity 100.0
- hkl 2 0 -4, 2θ = 37.74°, intensity 43.2
- hkl 4 2 -2, 2θ = 40.12°, intensity 30.4
- hkl 2 2 2, 2θ = 42.93°, intensity 30.5
- hkl 4 2 1, 2θ = 44.26°, intensity 22.9
- hkl 4 2 2, 2θ = 50.43°, intensity 24.1

Structural model:
```
data_Dy5Hg2Pd12
_space_group_name_H-M_alt 'C 1 2/m 1'
_space_group_IT_number 12
_space_group_name_Hall '-C 2y'
_cell_length_a 16.728
_cell_length_b 5.594
_cell_length_c 9.662
_cell_angle_alpha 90.00
_cell_angle_beta 116.01
_cell_angle_gamma 90.00
loop_
_atom_site_label
_atom_site_fract_x
_atom_site_fract_y
_atom_site_fract_z
Dy1 0.000 0.000 0.000
Dy2 0.156 0.500 0.372
Dy3 0.184 0.500 0.876
Hg1 0.000 0.249 0.500
Pd1 0.011 0.500 0.869
Pd2 0.113 0.000 0.818
Pd3 0.158 0.251 0.109
Pd4 0.187 0.239 0.630
```

***

(3)
Starting from a DFT-relaxed cell (PBE, Alexandria), the X-ray powder pattern of DyHg5Pd was calculated for Cu Kα (λ = 1.5418 Å).
Kinematic intensities with the Lorentz-polarization factor, no thermal factor.

Peak list (10 most intense, 10° ≤ 2θ ≤ 80°, sorted by position)
- hkl 1 1 0, 2θ = 26.04°, intensity 9.3
- hkl 1 1 1, 2θ = 28.97°, intensity 26.4
- hkl 1 1 2, 2θ = 36.49°, intensity 100.0
- hkl 2 0 0, 2θ = 37.15°, intensity 55.7
- hkl 0 0 3, 2θ = 38.08°, intensity 10.2
- hkl 2 2 0, 2θ = 53.55°, intensity 19.7
- hkl 2 0 3, 2θ = 54.25°, intensity 14.9
- hkl 2 0 4, 2θ = 65.25°, intensity 11.2
- hkl 3 1 2, 2θ = 66.55°, intensity 35.3
- hkl 1 1 5, 2θ = 72.10°, intensity 10.5

Structural model:
```
data_DyHg5Pd
_space_group_name_H-M_alt 'P 4/m m m'
_space_group_IT_number 123
_space_group_name_Hall '-P 4 2'
_cell_length_a 4.840
_cell_length_b 4.840
_cell_length_c 7.090
_cell_angle_alpha 90.00
_cell_angle_beta 90.00
_cell_angle_gamma 90.00
loop_
_atom_site_label
_atom_site_fract_x
_atom_site_fract_y
_atom_site_fract_z
Dy1 0.000 0.000 0.000
Hg1 0.000 0.500 0.289
Hg2 0.500 0.500 0.000
Pd1 0.000 0.000 0.500
```

***

(4)
Starting from a DFT-relaxed cell (PBE, Alexandria), the X-ray powder pattern of Dy3HgPd6 was calculated for Cu Kα (λ = 1.5418 Å).
Kinematic intensities with the Lorentz-polarization factor, no thermal factor.

Peak list (10 most intense, 10° ≤ 2θ ≤ 80°, sorted by position)
- hkl 0 4 1, 2θ = 29.37°, intensity 34.4
- hkl 3 1 1, 2θ = 31.99°, intensity 69.4
- hkl 4 0 0, 2θ = 32.51°, intensity 20.1
- hkl 3 3 1, 2θ = 35.55°, intensity 71.2
- hkl 3 5 0, 2θ = 36.49°, intensity 35.8
- hkl 0 6 1, 2θ = 38.26°, intensity 100.0
- hkl 0 0 2, 2θ = 40.34°, intensity 64.6
- hkl 3 5 1, 2θ = 41.88°, intensity 23.5
- hkl 4 4 1, 2θ = 44.37°, intensity 29.8
- hkl 3 5 2, 2θ = 55.52°, intensity 21.6

Structural model:
```
data_Dy3HgPd6
_space_group_name_H-M_alt 'C m c m'
_space_group_IT_number 63
_space_group_name_Hall '-C 2c 2'
_cell_length_a 11.017
_cell_length_b 16.594
_cell_length_c 4.472
_cell_angle_alpha 90.00
_cell_angle_beta 90.00
_cell_angle_gamma 90.00
loop_
_atom_site_label
_atom_site_fract_x
_atom_site_fract_y
_atom_site_fract_z
Dy1 0.000 0.090 0.250
Dy2 0.169 0.395 0.750
Hg1 0.000 0.290 0.250
Pd1 0.000 0.190 0.750
Pd2 0.000 0.455 0.250
Pd3 0.169 0.050 0.750
Pd4 0.242 0.205 0.750
```

***

(5)
Starting from a DFT-relaxed cell (PBE, Alexandria), the X-ray powder pattern of Dy3Hg2Pd8 was calculated for Cu Kα (λ = 1.5418 Å).
Kinematic intensities with the Lorentz-polarization factor, no thermal factor.

Peak list (10 most intense, 10° ≤ 2θ ≤ 80°, sorted by position)
- hkl 0 1 5, 2θ = 23.91°, intensity 20.1
- hkl 1 1 0, 2θ = 33.24°, intensity 67.0
- hkl 1 1 3, 2θ = 34.40°, intensity 25.1
- hkl 0 1 11, 2θ = 37.42°, intensity 100.0
- hkl 1 1 6, 2θ = 37.69°, intensity 40.8
- hkl 2 0 2, 2θ = 39.03°, intensity 50.5
- hkl 2 0 5, 2θ = 41.36°, intensity 36.4
- hkl 1 0 13, 2θ = 42.72°, intensity 29.5
- hkl 1 2 11, 2θ = 62.16°, intensity 45.3
- hkl 2 2 0, 2θ = 69.79°, intensity 30.5

Structural model:
```
data_Dy3Hg2Pd8
_space_group_name_H-M_alt 'R -3 m'
_space_group_IT_number 166
_space_group_name_Hall '-R 3 2"'
_cell_length_a 5.3906
_cell_length_b 5.3906
_cell_length_c 30.8372
_cell_angle_alpha 90.00
_cell_angle_beta 90.00
_cell_angle_gamma 120.00
loop_
_atom_site_label
_atom_site_fract_x
_atom_site_fract_y
_atom_site_fract_z
Dy1 0.0000 0.0000 0.0000
Dy2 0.0000 0.0000 0.1888
Hg1 0.0000 0.0000 0.3641
Pd1 0.0000 0.0000 0.2781
Pd2 0.0025 0.5013 0.7718
```

***

(6)
Starting from a DFT-relaxed cell (PBE, Alexandria), the X-ray powder pattern of Dy6HgPd5 was calculated for Cu Kα (λ = 1.5418 Å).
Kinematic intensities with the Lorentz-polarization factor, no thermal factor.

Peak list (10 most intense, 10° ≤ 2θ ≤ 80°, sorted by position)
- hkl 2 0 -1, 2θ = 35.80°, intensity 100.0
- hkl 0 0 3, 2θ = 35.95°, intensity 19.7
- hkl 0 4 0, 2θ = 51.40°, intensity 7.1
- hkl 2 0 2, 2θ = 51.56°, intensity 7.0
- hkl 2 0 -4, 2θ = 51.75°, intensity 7.0
- hkl 3 2 0, 2θ = 64.28°, intensity 21.5
- hkl 3 2 -3, 2θ = 64.44°, intensity 14.3
- hkl 1 2 -5, 2θ = 64.59°, intensity 7.0
- hkl 2 4 2, 2θ = 75.78°, intensity 4.4
- hkl 4 0 -2, 2θ = 75.92°, intensity 6.6

Structural model:
```
data_Dy6HgPd5
_space_group_name_H-M_alt 'P 1 2/m 1'
_space_group_IT_number 10
_space_group_name_Hall '-P 2y'
_cell_length_a 5.014
_cell_length_b 7.111
_cell_length_c 7.894
_cell_angle_alpha 90.00
_cell_angle_beta 108.32
_cell_angle_gamma 90.00
loop_
_atom_site_label
_atom_site_fract_x
_atom_site_fract_y
_atom_site_fract_z
Dy1 0.000 0.241 0.000
Dy2 0.329 0.247 0.659
Hg1 0.500 0.500 0.000
Pd1 0.165 0.500 0.329
Pd2 0.167 0.000 0.331
Pd3 0.500 0.000 0.000
```

***

(7)
Starting from a DFT-relaxed cell (PBE, Alexandria), the X-ray powder pattern of PmDy2Hg3 was calculated for Cu Kα (λ = 1.5418 Å).
Kinematic intensities with the Lorentz-polarization factor, no thermal factor.

Peak list (10 most intense, 10° ≤ 2θ ≤ 80°, sorted by position)
- hkl 1 3 2, 2θ = 33.69°, intensity 100.0
- hkl 2 0 0, 2θ = 33.96°, intensity 49.4
- hkl 0 0 4, 2θ = 48.00°, intensity 9.1
- hkl 2 6 0, 2θ = 48.78°, intensity 18.0
- hkl 2 0 4, 2θ = 60.09°, intensity 18.7
- hkl 1 9 2, 2θ = 60.53°, intensity 18.7
- hkl 3 3 2, 2θ = 60.66°, intensity 18.7
- hkl 2 6 4, 2θ = 70.85°, intensity 11.5
- hkl 0 12 0, 2θ = 71.35°, intensity 2.9
- hkl 4 0 0, 2θ = 71.58°, intensity 2.9

Structural model:
```
data_PmDy2Hg3
_space_group_name_H-M_alt 'C m m m'
_space_group_IT_number 65
_space_group_name_Hall '-C 2 2'
_cell_length_a 5.273
_cell_length_b 15.863
_cell_length_c 7.582
_cell_angle_alpha 90.00
_cell_angle_beta 90.00
_cell_angle_gamma 90.00
loop_
_atom_site_label
_atom_site_fract_x
_atom_site_fract_y
_atom_site_fract_z
Pm1 0.000 0.166 0.000
Dy1 0.000 0.168 0.500
Dy2 0.000 0.500 0.000
Dy3 0.000 0.500 0.500
Hg1 0.000 0.000 0.259
Hg2 0.000 0.336 0.260
```

***

(8)
Starting from a DFT-relaxed cell (PBE, Alexandria), the X-ray powder pattern of Pm2Dy3Hg7 was calculated for Cu Kα (λ = 1.5418 Å).
Kinematic intensities with the Lorentz-polarization factor, no thermal factor.

Peak list (10 most intense, 10° ≤ 2θ ≤ 80°, sorted by position)
- hkl 0 0 1, 2θ = 16.33°, intensity 7.1
- hkl 1 5 0, 2θ = 25.58°, intensity 7.8
- hkl 1 5 1, 2θ = 30.50°, intensity 20.2
- hkl 0 0 2, 2θ = 33.01°, intensity 37.2
- hkl 2 0 0, 2θ = 34.22°, intensity 33.8
- hkl 1 7 1, 2θ = 35.99°, intensity 100.0
- hkl 2 0 2, 2θ = 48.28°, intensity 26.0
- hkl 1 7 3, 2θ = 60.90°, intensity 22.1
- hkl 3 7 1, 2θ = 62.42°, intensity 21.5
- hkl 2 14 2, 2θ = 76.32°, intensity 7.2

Structural model:
```
data_Pm2Dy3Hg7
_space_group_name_H-M_alt 'C m m m'
_space_group_IT_number 65
_space_group_name_Hall '-C 2 2'
_cell_length_a 5.241
_cell_length_b 23.305
_cell_length_c 5.428
_cell_angle_alpha 90.00
_cell_angle_beta 90.00
_cell_angle_gamma 90.00
loop_
_atom_site_label
_atom_site_fract_x
_atom_site_fract_y
_atom_site_fract_z
Pm1 0.000 0.145 0.000
Dy1 0.000 0.337 0.500
Dy2 0.000 0.500 0.500
Hg1 0.000 0.000 0.000
Hg2 0.000 0.080 0.500
Hg3 0.000 0.278 0.000
Hg4 0.000 0.427 0.000
```